Record 1
Computed X-ray diffraction stick pattern of Nb2CuS4 for Cu Kα, 1.54184 Å, from a PBE-relaxed structure.

Structure:
Lattice parameters (Å, degrees): 3.3865 3.3865 13.2389 90.00 90.00 120.00
Element x y z (fractional)
Nb  0.0000  0.0000  0.0000
Nb  0.3333  0.6667  0.5033
Cu  0.3333  0.6667  0.2858
S  0.0000  0.0000  0.3816
S  0.0000  0.0000  0.6185
S  0.3333  0.6667  0.1189
S  0.3333  0.6667  0.8857

Peak list (6 most intense, 10 to 90 degrees two-theta, sorted by position)
two_theta	intensity	hkl
13.4	86	0 0 2
30.5	70	1 0 0
31.2	40	0 1 1
36.8	84	1 0 3
46.2	100	0 1 5
54.2	46	1 1 0

=====

Record 2
Computed X-ray diffraction stick pattern of Nb2V3Cu15S20 for Cu Kα, 1.54184 Å, from a PBE-relaxed structure.

Structure:
Lattice parameters (Å, degrees): 5.4543 5.4543 27.2619 90.00 90.00 90.00
Element x y z (fractional)
Nb  0.0000  0.0000  0.1002
Nb  0.0000  0.0000  0.8998
V  0.0000  0.0000  0.3002
V  0.0000  0.0000  0.5000
V  0.0000  0.0000  0.6998
Cu  0.0000  0.0000  0.0000
Cu  0.0000  0.0000  0.2012
Cu  0.0000  0.0000  0.4000
Cu  0.0000  0.0000  0.6000
Cu  0.0000  0.0000  0.7988
Cu  0.0000  0.5000  0.1000
Cu  0.0000  0.5000  0.3000
Cu  0.0000  0.5000  0.5000
Cu  0.0000  0.5000  0.7000
Cu  0.0000  0.5000  0.9000
Cu  0.5000  0.0000  0.1000
Cu  0.5000  0.0000  0.3000
Cu  0.5000  0.0000  0.5000
Cu  0.5000  0.0000  0.7000
Cu  0.5000  0.0000  0.9000
S  0.2348  0.2348  0.3470
S  0.2347  0.2347  0.5469
S  0.2349  0.2349  0.7468
S  0.2349  0.7651  0.2532
S  0.2347  0.7653  0.4531
S  0.2348  0.7652  0.6530
S  0.2467  0.2467  0.1495
S  0.2467  0.2467  0.9493
S  0.2467  0.7533  0.0507
S  0.2467  0.7533  0.8505
S  0.7533  0.2467  0.0507
S  0.7533  0.2467  0.8505
S  0.7533  0.7533  0.1495
S  0.7533  0.7533  0.9493
S  0.7651  0.2349  0.2532
S  0.7653  0.2347  0.4531
S  0.7652  0.2348  0.6530
S  0.7652  0.7652  0.3470
S  0.7653  0.7653  0.5469
S  0.7651  0.7651  0.7468

Peak list (6 most intense, 10 to 90 degrees two-theta, sorted by position)
two_theta	intensity	hkl
16.3	100	1 0 0
28.3	59	1 1 5
36.9	39	2 1 0
47.1	90	2 2 0
50.2	22	2 2 5
87.7	27	4 2 10

=====

Record 3
Computed X-ray diffraction stick pattern of Nb2CuSe4 for Cu Kα, 1.54184 Å, from a PBE-relaxed structure.

Structure:
Lattice parameters (Å, degrees): 3.5391 3.5391 13.9093 90.00 90.00 120.00
Element x y z (fractional)
Nb  0.0000  0.0000  0.0000
Nb  0.3333  0.6667  0.5048
Cu  0.3333  0.6667  0.2876
Se  0.0000  0.0000  0.3834
Se  0.0000  0.0000  0.6227
Se  0.3333  0.6667  0.1197
Se  0.3333  0.6667  0.8832

Peak list (6 most intense, 10 to 90 degrees two-theta, sorted by position)
two_theta	intensity	hkl
12.7	46	0 0 2
29.1	68	1 0 0
35.1	88	1 0 3
44.0	100	0 1 5
51.7	51	1 1 0
70.1	24	2 0 5

=====

Record 4
Computed X-ray diffraction stick pattern of Nb3Cu2Se6 for Cu Kα, 1.54184 Å, from a PBE-relaxed structure.

Structure:
Lattice parameters (Å, degrees): 3.5378 13.8788 9.3417 90.00 100.78 90.00
Element x y z (fractional)
Nb  0.0564  0.0000  0.1110
Nb  0.2779  0.4988  0.5567
Nb  0.3917  0.9997  0.7815
Nb  0.6083  0.4997  0.2185
Nb  0.7221  0.9988  0.4433
Nb  0.9436  0.5000  0.8890
Cu  0.0544  0.2099  0.1084
Cu  0.2786  0.2891  0.5578
Cu  0.7214  0.7891  0.4422
Cu  0.9456  0.7099  0.8916
Se  0.0554  0.3799  0.1104
Se  0.0595  0.6208  0.1180
Se  0.2776  0.1183  0.5564
Se  0.2812  0.8791  0.5635
Se  0.3855  0.6209  0.7699
Se  0.3934  0.3783  0.7857
Se  0.6066  0.8783  0.2143
Se  0.6145  0.1209  0.2301
Se  0.7188  0.3791  0.4365
Se  0.7224  0.6183  0.4436
Se  0.9405  0.1208  0.8820
Se  0.9446  0.8799  0.8896

Peak list (6 most intense, 10 to 90 degrees two-theta, sorted by position)
two_theta	intensity	hkl
12.8	30	0 2 0
29.2	67	1 0 -2
35.2	75	1 3 1
44.0	100	1 5 1
51.7	35	2 0 -1
77.0	19	2 8 -1